# Ac2MnAsO6
Simulated powder XRD pattern, λ = 1.5418 Å (Cu Kα). Input: DFT lattice parameters and positions (GGA+U).

Crystal structure
```
data_Ac2MnAsO6
_space_group_name_H-M_alt 'P 4/m m m'
_space_group_IT_number 123
_space_group_name_Hall '-P 4 2'
_cell_length_a 5.7641
_cell_length_b 5.7641
_cell_length_c 4.0823
_cell_angle_alpha 90.00
_cell_angle_beta 90.00
_cell_angle_gamma 90.00
loop_
_atom_site_label
_atom_site_type_symbol
_atom_site_fract_x
_atom_site_fract_y
_atom_site_fract_z
_atom_site_occupancy
Ac1 Ac 0.0000 0.5000 0.0000 1
Mn1 Mn 0.0000 0.0000 0.5000 1
As1 As 0.5000 0.5000 0.5000 1
O1 O 0.0000 0.0000 0.0000 1
O2 O 0.2553 0.2553 0.5000 1
O3 O 0.5000 0.5000 0.0000 1
```

The 8 most intense peaks (2θ = 10–90°), sorted by position:
two_theta, I/Imax
21.8, 28.6
31.0, 100.0
38.2, 21.6
44.4, 28.6
50.0, 14.9
55.2, 41.0
64.6, 18.0
73.5, 11.9